Calculated powder diffraction line list
Compound: CeCuSi2Ni
Radiation: Cu Kα
Structure: a structure optimized by DFT (GGA-PBE)
Kinematic intensities with the Lorentz-polarization factor, no thermal factor.

Largest 6 diffraction maxima, sorted by position, 2θ = 15–90°:
d [Å], intensity
3.736, 37.4
2.523, 45.4
2.464, 100.0
2.025, 40.1
1.579, 21.3
1.238, 20.9

```
5
Lattice="-2.025 2.025 4.837 2.025 -2.025 4.837 2.025 2.025 -4.837" Properties=species:S:1:pos:R:3 pbc="T T T"
Ce 0.000 0.000 0.000
Cu 2.025 0.000 2.418
Si 0.000 0.000 3.635
Si 0.000 0.000 6.038
Ni 0.000 2.025 2.418
```